1.
The following is a computed X-ray diffraction stick pattern of La6Sm8Er. It was derived from a cell relaxed with GGA-PBE, using Cu Kα.

```
La6Sm8Er
1.0
4.646 2.682 7.084
-4.646 2.682 7.084
0.000 -5.365 7.084
La Sm Er
6 8 1
Cartesian
-2.595 -2.255 9.689 La
-3.250 1.119 11.563 La
0.656 -3.375 11.563 La
-0.656 3.375 9.689 La
3.250 -1.119 9.689 La
2.595 2.255 11.563 La
0.000 0.000 1.642 Sm
-1.874 0.824 7.669 Sm
0.223 -2.035 7.669 Sm
-1.650 -1.211 13.583 Sm
1.650 1.211 7.669 Sm
-0.223 2.035 13.583 Sm
1.874 -0.824 13.583 Sm
0.000 0.000 19.610 Sm
0.000 0.000 10.626 Er
```

Most intense lines, 2θ = 15–90°, low angle first:
d [Å], intensity
3.011, 27
2.923, 100
2.841, 31
2.817, 11
2.640, 9
2.509, 14
1.772, 10
1.743, 10
1.705, 11
1.577, 9

---

2.
The following is a computed X-ray diffraction stick pattern of Zr4Cu3. It was derived from a cell relaxed with GGA-PBE, using Cu Kα.

```
Zr4Cu3
1.0
5.196 0.000 0.000
-2.598 4.500 0.000
0.000 0.000 5.404
Zr Cu
4 3
Cartesian
0.000 0.000 1.333 Zr
0.000 0.000 4.071 Zr
0.000 3.000 0.000 Zr
2.598 1.500 0.000 Zr
-1.299 2.250 2.702 Cu
2.598 0.000 2.702 Cu
1.299 2.250 2.702 Cu
```

Most intense lines, 2θ = 15–90°, low angle first:
d [Å], intensity
2.598, 53
2.342, 57
2.317, 100
2.250, 34
2.077, 52
1.445, 12
1.439, 42
1.406, 15
1.299, 20
1.133, 19

---

3.
The following is a computed X-ray diffraction stick pattern of TcAgPt2. It was derived from a cell relaxed with GGA-PBE, using Cu Kα.

```
TcAgPt2
1.0
2.795 0.000 0.000
0.000 3.948 0.000
-0.010 0.000 5.689
Tc Ag Pt
1 1 2
Cartesian
0.000 0.000 0.000 Tc
-0.005 0.000 2.844 Ag
1.383 1.974 4.354 Pt
1.402 1.974 1.335 Pt
```

Most intense lines, 2θ = 15–90°, low angle first:
d [Å], intensity
3.948, 16
2.308, 100
2.281, 99
1.994, 65
1.974, 32
1.403, 41
1.206, 12
1.196, 12
1.195, 25
1.191, 12

---

4.
The following is a computed X-ray diffraction stick pattern of Al2Cr4Se9. It was derived from a cell relaxed with GGA-PBE, using Cu Kα.

```
Al2Cr4Se9
1.0
6.418 0.000 0.000
-3.209 5.558 0.000
0.000 0.000 17.169
Al Cr Se
4 8 18
Cartesian
0.000 0.000 2.626 Al
0.000 0.000 5.958 Al
0.000 0.000 11.210 Al
0.000 0.000 14.543 Al
0.000 3.705 0.219 Cr
0.000 3.705 5.511 Cr
0.000 3.705 8.803 Cr
0.000 3.705 14.096 Cr
3.209 1.853 3.073 Cr
3.209 1.853 8.365 Cr
3.209 1.853 11.657 Cr
3.209 1.853 16.950 Cr
-0.995 1.724 4.292 Se
-2.214 3.834 12.876 Se
-0.989 2.005 15.746 Se
-1.967 3.699 7.161 Se
1.990 0.000 4.292 Se
0.995 1.724 12.876 Se
0.989 2.005 7.161 Se
-0.978 5.412 15.746 Se
2.231 0.146 10.007 Se
1.242 1.859 1.423 Se
1.967 3.699 15.746 Se
0.978 5.412 7.161 Se
4.187 0.146 1.423 Se
2.220 3.553 10.007 Se
4.427 0.000 12.876 Se
2.214 3.834 4.292 Se
5.176 1.859 10.007 Se
4.198 3.553 1.423 Se
```

Most intense lines, 2θ = 15–90°, low angle first:
d [Å], intensity
4.665, 15
2.861, 11
2.799, 100
2.136, 42
1.853, 34
1.640, 22
1.545, 13
1.399, 10
1.186, 10
1.132, 11

---

5.
The following is a computed X-ray diffraction stick pattern of Cs2K7Na3. It was derived from a cell relaxed with GGA-PBE, using Cu Kα.

```
Cs2K7Na3
1.0
3.748 -23.585 0.000
3.748 23.585 0.000
0.000 0.000 4.669
Cs K Na
2 7 3
Cartesian
3.748 15.617 0.000 Cs
3.748 -15.617 0.000 Cs
0.000 0.000 0.000 K
3.748 19.732 2.334 K
3.748 10.576 0.000 K
3.748 3.405 0.000 K
3.748 -3.405 0.000 K
3.748 -10.576 0.000 K
3.748 -19.732 2.334 K
3.748 6.838 2.334 Na
3.748 0.000 2.334 Na
3.748 -6.838 2.334 Na
```

Most intense lines, 2θ = 15–90°, low angle first:
d [Å], intensity
4.669, 25
4.295, 30
3.931, 31
3.843, 31
3.748, 60
3.722, 36
3.655, 49
3.416, 100
3.161, 26
1.980, 34

---

6.
The following is a computed X-ray diffraction stick pattern of Y5Er4Tm4. It was derived from a cell relaxed with GGA-PBE, using Cu Kα.

```
Y5Er4Tm4
1.0
-6.362 6.362 2.488
6.362 -6.362 2.488
6.362 6.362 -2.488
Y Er Tm
5 4 4
Cartesian
0.000 0.000 0.000 Y
6.846 3.891 0.000 Y
3.891 5.877 0.000 Y
2.471 0.484 2.488 Y
-0.484 2.471 2.488 Y
9.771 1.970 0.000 Er
1.970 2.952 0.000 Er
4.392 3.409 2.488 Er
-3.409 4.392 2.488 Er
4.903 0.965 0.000 Tm
5.396 -1.459 2.488 Tm
0.965 7.821 0.000 Tm
1.459 5.396 2.488 Tm
```

Most intense lines, 2θ = 15–90°, low angle first:
d [Å], intensity
2.879, 100
2.495, 33
2.488, 17
1.763, 35
1.504, 28
1.501, 14
1.439, 12
1.145, 6
1.143, 12
1.116, 11

---

7.
The following is a computed X-ray diffraction stick pattern of Pr2Nd4Sm2Ho. It was derived from a cell relaxed with GGA-PBE, using Cu Kα.

```
Pr2Nd4Sm2Ho
1.0
9.563 -1.846 0.000
9.563 1.846 0.000
-4.235 0.000 8.864
Pr Nd Sm Ho
2 4 2 1
Cartesian
1.047 0.000 4.419 Pr
13.844 0.000 4.444 Pr
-3.174 0.000 7.364 Nd
5.310 0.000 1.484 Nd
9.581 0.000 7.380 Nd
18.064 0.000 1.499 Nd
3.210 0.000 7.386 Sm
11.680 0.000 1.478 Sm
7.445 0.000 4.432 Ho
```

Most intense lines, 2θ = 15–90°, low angle first:
d [Å], intensity
3.170, 36
3.104, 14
2.955, 50
2.878, 100
2.737, 86
1.842, 25
1.722, 23
1.565, 30
1.562, 15
1.529, 15

---

8.
The following is a computed X-ray diffraction stick pattern of NbTeSe2. It was derived from a cell relaxed with GGA-PBE, using Cu Kα.

```
NbTeSe2
1.0
1.747 -6.840 0.000
1.747 6.840 0.000
0.000 0.000 8.094
Nb Te Se
2 2 4
Cartesian
1.747 3.565 6.071 Nb
1.747 -3.565 2.024 Nb
1.747 1.053 2.024 Te
1.747 -1.053 6.071 Te
1.747 4.676 0.552 Se
1.747 4.676 3.496 Se
1.747 -4.676 4.599 Se
1.747 -4.676 7.543 Se
```

Most intense lines, 2θ = 15–90°, low angle first:
d [Å], intensity
3.150, 31
2.773, 41
2.623, 100
2.596, 48
2.510, 55
2.110, 28
1.986, 40
1.934, 29
1.747, 20
1.312, 20